# SrLiCd4In2
Computed powder XRD pattern, Cu Kα X-rays. Input: a crystal structure in Alexandria, relaxed with PBE.
Neutral-atom scattering factors, no anomalous dispersion.

Principal peaks in the range 10 to 90 degrees two-theta, in order of rising 2θ:
d (Å)  I/Imax
3.393  15
2.889  23
2.669  84
2.519  100
1.832  27
1.481  26
1.464  15
1.454  17

Structural model:
```
SrLiCd4In2
1.0
2.519 1.454 8.995
-2.519 1.454 8.995
0.000 -2.908 8.995
Sr Li Cd In
1 1 4 2
direct
0.000 0.000 0.000 Sr
0.500 0.500 0.500 Li
0.135 0.135 0.135 Cd
0.394 0.394 0.394 Cd
0.606 0.606 0.606 Cd
0.865 0.865 0.865 Cd
0.250 0.250 0.250 In
0.750 0.750 0.750 In
```

***

# RbPuInCl6
Computed powder XRD pattern, Cu Kα X-rays. Input: a crystal structure in Alexandria, relaxed with PBE.
Neutral-atom scattering factors, no anomalous dispersion.

Principal peaks in the range 10 to 90 degrees two-theta, in order of rising 2θ:
d (Å)  I/Imax
6.267  43
4.993  100
3.816  68
2.591  81
2.496  26
2.233  17
2.089  31
2.064  23

Structural model:
```
RbPuInCl6
1.0
7.061 0.000 0.000
0.000 7.061 0.000
0.000 0.000 13.607
Rb Pu In Cl
2 2 2 12
direct
0.000 0.000 0.000 Rb
0.500 0.500 0.500 Rb
0.000 0.000 0.663 Pu
0.500 0.500 0.163 Pu
0.000 0.000 0.332 In
0.500 0.500 0.832 In
0.173 0.173 0.517 Cl
0.187 0.187 0.798 Cl
0.239 0.239 0.170 Cl
0.261 0.739 0.670 Cl
0.313 0.687 0.298 Cl
0.327 0.673 0.017 Cl
0.673 0.327 0.017 Cl
0.687 0.313 0.298 Cl
0.739 0.261 0.670 Cl
0.761 0.761 0.170 Cl
0.813 0.813 0.798 Cl
0.827 0.827 0.517 Cl
```